(1)
Starting from a GGA-PBE-relaxed structure, the XRD peak list of PuCl6 was calculated for CuKα.

Peak list (12 most intense, 2θ = 15–90°, by intensity)
15.5°, I 100; 15.1°, I 91; 16.5°, I 59; 21.1°, I 30; 24.2°, I 28; 29.6°, I 23; 33.5°, I 21; 18.8°, I 20; 46.4°, I 19; 43.7°, I 19; 31.3°, I 18; 40.8°, I 18

Structural model:
Unit cell a=13.059 b=11.751 c=6.817 alpha=90.00 beta=90.00 gamma=90.00
Fractional positions:
Pu1 0.129 0.250 0.097
Pu2 0.371 0.750 0.597
Pu3 0.629 0.250 0.403
Pu4 0.871 0.750 0.903
Cl1 0.010 0.250 0.817
Cl2 0.026 0.102 0.258
Cl3 0.026 0.398 0.258
Cl4 0.233 0.102 0.937
Cl5 0.233 0.398 0.937
Cl6 0.248 0.250 0.377
Cl7 0.252 0.750 0.877
Cl8 0.267 0.602 0.437
Cl9 0.267 0.898 0.437
Cl10 0.474 0.602 0.758
Cl11 0.474 0.898 0.758
Cl12 0.490 0.750 0.317
Cl13 0.510 0.250 0.683
Cl14 0.526 0.102 0.242
Cl15 0.526 0.398 0.242
Cl16 0.733 0.102 0.563
Cl17 0.733 0.398 0.563
Cl18 0.748 0.250 0.123
Cl19 0.752 0.750 0.623
Cl20 0.767 0.602 0.063
Cl21 0.767 0.898 0.063
Cl22 0.974 0.602 0.742
Cl23 0.974 0.898 0.742
Cl24 0.990 0.750 0.183

***

(2)
Starting from a GGA-PBE-relaxed structure, the XRD peak list of RbPu4Cl8 was calculated for CuKα.

Peak list (12 most intense, 2θ = 15–90°, by intensity)
33.9°, I 100; 28.8°, I 75; 26.9°, I 52; 41.2°, I 51; 59.7°, I 28; 64.7°, I 27; 20.2°, I 25; 47.6°, I 25; 49.9°, I 24; 48.8°, I 24; 79.7°, I 21; 52.2°, I 19

Structural model:
Unit cell a=7.647 b=7.647 c=17.553 alpha=90.00 beta=90.00 gamma=120.00
Fractional positions:
Rb1 0.000 0.000 0.000
Rb2 0.000 0.000 0.500
Pu1 0.000 0.000 0.250
Pu2 0.000 0.000 0.750
Pu3 0.001 0.500 0.250
Pu4 0.500 0.001 0.750
Pu5 0.500 0.500 0.250
Pu6 0.500 0.500 0.750
Pu7 0.500 0.999 0.250
Pu8 0.999 0.500 0.750
Cl1 0.166 0.332 0.646
Cl2 0.166 0.332 0.854
Cl3 0.166 0.834 0.646
Cl4 0.166 0.834 0.854
Cl5 0.332 0.166 0.146
Cl6 0.332 0.166 0.354
Cl7 0.333 0.667 0.148
Cl8 0.333 0.667 0.352
Cl9 0.667 0.333 0.648
Cl10 0.667 0.333 0.852
Cl11 0.668 0.834 0.646
Cl12 0.668 0.834 0.854
Cl13 0.834 0.166 0.146
Cl14 0.834 0.166 0.354
Cl15 0.834 0.668 0.146
Cl16 0.834 0.668 0.354

***

(3)
Starting from a GGA-PBE-relaxed structure, the XRD peak list of RbPu2Cl6 was calculated for CuKα.

Peak list (12 most intense, 2θ = 15–90°, by intensity)
18.8°, I 100; 35.2°, I 84; 27.5°, I 60; 24.4°, I 50; 39.8°, I 30; 43.0°, I 30; 31.0°, I 26; 45.5°, I 20; 56.7°, I 20; 73.7°, I 18; 44.9°, I 17; 53.9°, I 14

Structural model:
Unit cell a=7.291 b=7.291 c=7.134 alpha=90.00 beta=90.00 gamma=120.00
Fractional positions:
Rb1 0.000 0.000 0.000
Pu1 0.333 0.667 0.500
Pu2 0.667 0.333 0.500
Cl1 0.000 0.374 0.720
Cl2 0.000 0.626 0.280
Cl3 0.374 0.000 0.720
Cl4 0.374 0.374 0.280
Cl5 0.626 0.000 0.280
Cl6 0.626 0.626 0.720

***

(4)
Starting from a GGA-PBE-relaxed structure, the XRD peak list of Rb3Pu2Cl7 was calculated for CuKα.

Peak list (12 most intense, 2θ = 15–90°, by intensity)
22.6°, I 100; 32.2°, I 48; 39.7°, I 43; 46.2°, I 32; 16.2°, I 28; 62.5°, I 20; 33.2°, I 16; 52.0°, I 16; 46.9°, I 12; 57.4°, I 10; 76.6°, I 10; 89.9°, I 8

Structural model:
Unit cell a=14.427 b=14.427 c=14.427 alpha=157.76 beta=157.76 gamma=31.66
Fractional positions:
Rb1 0.000 0.000 0.000
Rb2 0.182 0.182 0.000
Rb3 0.818 0.818 0.000
Pu1 0.398 0.398 0.000
Pu2 0.602 0.602 0.000
Cl1 0.097 0.597 0.500
Cl2 0.298 0.298 0.000
Cl3 0.403 0.903 0.500
Cl4 0.500 0.500 0.000
Cl5 0.597 0.097 0.500
Cl6 0.702 0.702 0.000
Cl7 0.903 0.403 0.500

***

(5)
Starting from a GGA-PBE-relaxed structure, the XRD peak list of Rb3PuCl8 was calculated for CuKα.

Peak list (12 most intense, 2θ = 15–90°, by intensity)
20.8°, I 100; 34.3°, I 91; 40.5°, I 52; 54.1°, I 25; 61.5°, I 25; 17.0°, I 24; 65.7°, I 17; 44.2°, I 16; 76.3°, I 15; 49.4°, I 13; 36.5°, I 12; 55.7°, I 10

Structural model:
Unit cell a=7.385 b=7.385 c=7.385 alpha=90.00 beta=90.00 gamma=90.00
Fractional positions:
Rb1 0.000 0.000 0.500
Rb2 0.000 0.500 0.000
Rb3 0.500 0.000 0.000
Pu1 0.500 0.500 0.500
Cl1 0.285 0.285 0.285
Cl2 0.285 0.285 0.715
Cl3 0.285 0.715 0.285
Cl4 0.285 0.715 0.715
Cl5 0.715 0.285 0.285
Cl6 0.715 0.285 0.715
Cl7 0.715 0.715 0.285
Cl8 0.715 0.715 0.715

***

(6)
Starting from a GGA-PBE-relaxed structure, the XRD peak list of Rb2PuCl7 was calculated for CuKα.

Peak list (12 most intense, 2θ = 15–90°, by intensity)
22.1°, I 100; 31.4°, I 61; 38.7°, I 45; 45.0°, I 41; 25.9°, I 32; 60.8°, I 28; 50.6°, I 25; 15.5°, I 25; 41.1°, I 22; 47.2°, I 20; 74.4°, I 16; 87.2°, I 16

Structural model:
Unit cell a=8.061 b=8.061 c=8.061 alpha=60.00 beta=60.00 gamma=60.00
Fractional positions:
Rb1 0.250 0.250 0.250
Rb2 0.750 0.750 0.750
Pu1 0.000 0.000 0.000
Cl1 0.225 0.225 0.775
Cl2 0.225 0.775 0.225
Cl3 0.225 0.775 0.775
Cl4 0.500 0.500 0.500
Cl5 0.775 0.225 0.225
Cl6 0.775 0.225 0.775
Cl7 0.775 0.775 0.225

***

(7)
Starting from a GGA-PBE-relaxed structure, the XRD peak list of PuSe6Cl12 was calculated for CuKα.

Peak list (12 most intense, 2θ = 15–90°, by intensity)
20.9°, I 100; 30.2°, I 60; 16.8°, I 52; 27.2°, I 51; 26.2°, I 50; 33.3°, I 48; 39.3°, I 34; 30.8°, I 31; 39.8°, I 26; 43.5°, I 24; 46.6°, I 23; 43.1°, I 23

Structural model:
Unit cell a=9.397 b=9.397 c=9.397 alpha=68.13 beta=68.13 gamma=68.13
Fractional positions:
Pu1 0.000 0.000 0.000
Se1 0.223 0.288 0.489
Se2 0.288 0.489 0.223
Se3 0.489 0.223 0.288
Se4 0.511 0.777 0.712
Se5 0.712 0.511 0.777
Se6 0.777 0.712 0.511
Cl1 0.010 0.703 0.533
Cl2 0.111 0.248 0.842
Cl3 0.158 0.889 0.752
Cl4 0.248 0.842 0.111
Cl5 0.297 0.467 0.990
Cl6 0.467 0.990 0.297
Cl7 0.533 0.010 0.703
Cl8 0.703 0.533 0.010
Cl9 0.752 0.158 0.889
Cl10 0.842 0.111 0.248
Cl11 0.889 0.752 0.158
Cl12 0.990 0.297 0.467

***

(8)
Starting from a GGA-PBE-relaxed structure, the XRD peak list of Pu3Se3Cl was calculated for CuKα.

Peak list (12 most intense, 2θ = 15–90°, by intensity)
30.5°, I 100; 43.7°, I 75; 26.3°, I 36; 72.0°, I 35; 54.2°, I 27; 80.2°, I 26; 51.7°, I 19; 24.0°, I 14; 18.5°, I 14; 39.2°, I 13; 63.4°, I 13; 32.4°, I 10

Structural model:
Unit cell a=10.157 b=10.157 c=10.157 alpha=109.47 beta=109.47 gamma=109.47
Fractional positions:
Pu1 0.000 0.248 0.499
Pu2 0.000 0.499 0.248
Pu3 0.248 0.000 0.499
Pu4 0.248 0.499 0.000
Pu5 0.251 0.752 0.752
Pu6 0.499 0.000 0.248
Pu7 0.499 0.248 0.000
Pu8 0.501 0.501 0.749
Pu9 0.501 0.749 0.501
Pu10 0.749 0.501 0.501
Pu11 0.752 0.251 0.752
Pu12 0.752 0.752 0.251
Se1 0.000 0.499 0.748
Se2 0.000 0.748 0.499
Se3 0.249 0.501 0.501
Se4 0.252 0.252 0.751
Se5 0.252 0.751 0.252
Se6 0.499 0.000 0.748
Se7 0.499 0.748 0.000
Se8 0.501 0.249 0.501
Se9 0.501 0.501 0.249
Se10 0.748 0.000 0.499
Se11 0.748 0.499 0.000
Se12 0.751 0.252 0.252
Cl1 0.000 0.000 0.269
Cl2 0.000 0.269 0.000
Cl3 0.269 0.000 0.000
Cl4 0.731 0.731 0.731

***

(9)
Starting from a GGA-PBE-relaxed structure, the XRD peak list of SmPuCl5 was calculated for CuKα.

Peak list (12 most intense, 2θ = 15–90°, by intensity)
26.2°, I 100; 32.1°, I 43; 34.6°, I 37; 24.0°, I 36; 32.3°, I 33; 47.4°, I 30; 43.4°, I 26; 27.2°, I 24; 42.8°, I 20; 27.5°, I 20; 35.5°, I 19; 46.0°, I 18

Structural model:
Unit cell a=7.811 b=3.990 c=12.973 alpha=90.00 beta=92.45 gamma=90.00
Fractional positions:
Sm1 0.078 0.250 0.155
Sm2 0.922 0.750 0.845
Pu1 0.418 0.750 0.355
Pu2 0.582 0.250 0.645
Cl1 0.138 0.250 0.789
Cl2 0.152 0.250 0.367
Cl3 0.180 0.750 0.018
Cl4 0.350 0.750 0.570
Cl5 0.432 0.250 0.190
Cl6 0.568 0.750 0.810
Cl7 0.650 0.250 0.430
Cl8 0.820 0.250 0.982
Cl9 0.848 0.750 0.633
Cl10 0.862 0.750 0.211

***

(10)
Starting from a GGA-PBE-relaxed structure, the XRD peak list of PuSnCl6 was calculated for CuKα.

Peak list (12 most intense, 2θ = 15–90°, by intensity)
30.9°, I 100; 17.9°, I 99; 22.6°, I 48; 45.9°, I 39; 40.5°, I 31; 33.0°, I 26; 40.4°, I 25; 36.3°, I 19; 47.5°, I 16; 44.9°, I 16; 15.3°, I 16; 43.3°, I 15

Structural model:
Unit cell a=6.834 b=12.090 c=6.831 alpha=90.00 beta=105.15 gamma=90.00
Fractional positions:
Pu1 0.000 0.000 0.000
Pu2 0.500 0.500 0.000
Sn1 0.000 0.500 0.500
Sn2 0.500 0.000 0.500
Cl1 0.230 0.146 0.237
Cl2 0.230 0.854 0.237
Cl3 0.245 0.000 0.764
Cl4 0.255 0.500 0.236
Cl5 0.270 0.354 0.763
Cl6 0.270 0.646 0.763
Cl7 0.730 0.354 0.237
Cl8 0.730 0.646 0.237
Cl9 0.745 0.500 0.764
Cl10 0.755 0.000 0.236
Cl11 0.770 0.146 0.763
Cl12 0.770 0.854 0.763

***

(11)
Starting from a GGA-PBE-relaxed structure, the XRD peak list of SrPuCl6 was calculated for CuKα.

Peak list (12 most intense, 2θ = 15–90°, by intensity)
17.5°, I 100; 38.5°, I 47; 23.8°, I 45; 15.6°, I 32; 29.5°, I 28; 41.2°, I 22; 31.4°, I 21; 45.7°, I 21; 44.4°, I 19; 35.5°, I 17; 25.9°, I 16; 61.2°, I 11

Structural model:
Unit cell a=7.518 b=7.518 c=7.518 alpha=54.50 beta=54.50 gamma=54.50
Fractional positions:
Sr1 0.000 0.000 0.000
Pu1 0.500 0.500 0.500
Cl1 0.109 0.427 0.727
Cl2 0.273 0.891 0.573
Cl3 0.427 0.727 0.109
Cl4 0.573 0.273 0.891
Cl5 0.727 0.109 0.427
Cl6 0.891 0.573 0.273

***

(12)
Starting from a GGA-PBE-relaxed structure, the XRD peak list of Pu3TeCl7 was calculated for CuKα.

Peak list (12 most intense, 2θ = 15–90°, by intensity)
27.6°, I 100; 35.6°, I 71; 24.4°, I 32; 42.9°, I 31; 17.6°, I 30; 46.4°, I 30; 44.9°, I 29; 24.7°, I 18; 56.9°, I 18; 51.7°, I 18; 73.8°, I 17; 69.4°, I 15

Structural model:
Unit cell a=8.438 b=8.438 c=6.959 alpha=90.00 beta=90.00 gamma=120.00
Fractional positions:
Pu1 0.167 0.335 0.000
Pu2 0.167 0.833 0.000
Pu3 0.665 0.833 0.000
Te1 0.333 0.667 0.268
Cl1 0.000 0.000 0.785
Cl2 0.026 0.513 0.802
Cl3 0.305 0.152 0.198
Cl4 0.487 0.513 0.802
Cl5 0.487 0.974 0.802
Cl6 0.848 0.152 0.198
Cl7 0.848 0.695 0.198